# 1
Starting from a cell relaxed with GGA-PBE, the powder diffraction line list of Na4Zr2Si3O12 was simulated for CuKα.

Structural model:
Unit cell a=9.200 b=9.200 c=9.200 alpha=60.91 beta=60.91 gamma=60.91
Fractional positions:
Na1 0.000 0.000 0.000
Na2 0.118 0.750 0.382
Na3 0.250 0.618 0.882
Na4 0.382 0.118 0.750
Na5 0.500 0.500 0.500
Na6 0.618 0.882 0.250
Na7 0.750 0.382 0.118
Na8 0.882 0.250 0.618
Zr1 0.146 0.146 0.146
Zr2 0.354 0.354 0.354
Zr3 0.646 0.646 0.646
Zr4 0.854 0.854 0.854
Si1 0.047 0.453 0.750
Si2 0.250 0.953 0.547
Si3 0.453 0.750 0.047
Si4 0.547 0.250 0.953
Si5 0.750 0.047 0.453
Si6 0.953 0.547 0.250
O1 0.010 0.623 0.795
O2 0.065 0.269 0.917
O3 0.083 0.935 0.731
O4 0.123 0.510 0.295
O5 0.205 0.990 0.377
O6 0.231 0.435 0.583
O7 0.269 0.917 0.065
O8 0.295 0.123 0.510
O9 0.377 0.205 0.990
O10 0.417 0.769 0.565
O11 0.435 0.583 0.231
O12 0.490 0.705 0.877
O13 0.510 0.295 0.123
O14 0.565 0.417 0.769
O15 0.583 0.231 0.435
O16 0.623 0.795 0.010
O17 0.705 0.877 0.490
O18 0.731 0.083 0.935
O19 0.769 0.565 0.417
O20 0.795 0.010 0.623
O21 0.877 0.490 0.705
O22 0.917 0.065 0.269
O23 0.935 0.731 0.083
O24 0.990 0.377 0.205

Most intense lines, 10 to 80 degrees two-theta, by angle:
two_theta  d (Å)  I (rel.)
19.0  4.663  65
19.3  4.599  79
22.5  3.954  20
27.2  3.274  32
30.7  2.913  100
33.3  2.692  66
43.9  2.062  20
45.9  1.977  37
51.9  1.763  22
57.9  1.594  28

***

# 2
Starting from a cell relaxed with GGA-PBE, the powder diffraction line list of YCo4B4 was simulated for CuKα.

Structural model:
Unit cell a=4.999 b=4.999 c=6.980 alpha=90.00 beta=90.00 gamma=90.00
Fractional positions:
Y1 0.250 0.750 0.250
Y2 0.750 0.250 0.750
Co1 0.004 0.750 0.612
Co2 0.250 0.504 0.888
Co3 0.250 0.996 0.888
Co4 0.496 0.750 0.612
Co5 0.504 0.250 0.388
Co6 0.750 0.004 0.112
Co7 0.750 0.496 0.112
Co8 0.996 0.250 0.388
B1 0.075 0.250 0.092
B2 0.250 0.075 0.592
B3 0.250 0.425 0.592
B4 0.425 0.250 0.092
B5 0.575 0.750 0.908
B6 0.750 0.575 0.408
B7 0.750 0.925 0.408
B8 0.925 0.750 0.908

Most intense lines, 10 to 80 degrees two-theta, by angle:
two_theta  d (Å)  I (rel.)
25.2  3.535  21
31.3  2.862  36
36.2  2.483  23
38.2  2.353  61
42.5  2.129  100
42.9  2.109  66
48.4  1.882  33
69.1  1.360  21
69.4  1.355  16
76.8  1.242  28

***

# 3
Starting from a cell relaxed with GGA-PBE, the powder diffraction line list of CsSeBr3 was simulated for CuKα.

Structural model:
Unit cell a=5.560 b=5.575 c=5.560 alpha=90.00 beta=90.09 gamma=90.00
Fractional positions:
Cs1 0.000 0.000 0.000
Se1 0.504 0.500 0.509
Br1 0.004 0.500 0.508
Br2 0.501 0.500 0.010
Br3 0.506 0.000 0.509

Most intense lines, 10 to 80 degrees two-theta, by angle:
two_theta  d (Å)  I (rel.)
22.6  3.935  38
27.8  3.213  83
32.2  2.783  100
39.7  2.272  17
46.1  1.968  60
54.7  1.679  18
54.8  1.677  18
57.4  1.606  25
74.3  1.277  12
76.6  1.244  16

***

# 4
Starting from a cell relaxed with GGA-PBE, the powder diffraction line list of Rb2InCuF6 was simulated for CuKα.

Structural model:
Unit cell a=6.192 b=6.192 c=6.192 alpha=60.00 beta=60.00 gamma=60.00
Fractional positions:
Rb1 0.250 0.250 0.250
Rb2 0.750 0.750 0.750
In1 0.000 0.000 0.000
Cu1 0.500 0.500 0.500
F1 0.244 0.244 0.756
F2 0.244 0.756 0.244
F3 0.244 0.756 0.756
F4 0.756 0.244 0.244
F5 0.756 0.244 0.756
F6 0.756 0.756 0.244

Most intense lines, 10 to 80 degrees two-theta, by angle:
two_theta  d (Å)  I (rel.)
17.5  5.056  6
20.3  4.379  3
28.8  3.096  100
34.0  2.640  3
35.5  2.528  4
41.2  2.189  41
51.1  1.788  40
59.7  1.548  25
67.7  1.385  17
75.2  1.264  8

***

- What is the formula in the third record?
  CsSeBr3